Record 1
Computed XRD peak list
Compound: Ce11Ir4Pb9
Radiation: λ = 1.5418 Å (Cu Kα)
Structure: the GGA-PBE geometry in Alexandria
Intensities are scaled so that the largest is 100.

Most intense lines, 10 to 90 degrees two-theta, by angle:
- 2θ = 33.11°, d = 2.706 Å, I = 100
- 2θ = 33.25°, d = 2.695 Å, I = 100
- 2θ = 34.67°, d = 2.588 Å, I = 82
- 2θ = 35.49°, d = 2.529 Å, I = 25
- 2θ = 45.33°, d = 2.001 Å, I = 37
- 2θ = 58.30°, d = 1.583 Å, I = 38

Cell and atoms:
```
data_Ce11Ir4Pb9
_chemical_formula_sum 'Ce22 Ir8 Pb18'
_cell_length_a 14.6932
_cell_length_b 21.8738
_cell_length_c 4.0012
_cell_angle_alpha 90.00
_cell_angle_beta 90.00
_cell_angle_gamma 90.00
_symmetry_space_group_name_H-M 'C m m m'
_symmetry_Int_Tables_number 65
_symmetry_space_group_name_Hall '-C 2 2'
loop_
_atom_site_label
_atom_site_type_symbol
_atom_site_fract_x
_atom_site_fract_y
_atom_site_fract_z
Ce1 Ce 0.0000 0.0000 0.0000
Ce2 Ce 0.0000 0.1577 0.0000
Ce3 Ce 0.0000 0.3731 0.0000
Ce4 Ce 0.1876 0.5000 0.0000
Ce5 Ce 0.2499 0.1676 0.0000
Ir1 Ir 0.1505 0.3971 0.5000
Pb1 Pb 0.0000 0.5000 0.5000
Pb2 Pb 0.1094 0.2587 0.5000
Pb3 Pb 0.1445 0.0732 0.5000
```

Record 2
Computed XRD peak list
Compound: LaRhCl
Radiation: λ = 1.5418 Å (Cu Kα)
Structure: the GGA-PBE geometry in Alexandria
Intensities are scaled so that the largest is 100.

Most intense lines, 10 to 90 degrees two-theta, by angle:
- 2θ = 23.74°, d = 3.748 Å, I = 26
- 2θ = 31.45°, d = 2.844 Å, I = 100
- 2θ = 33.53°, d = 2.673 Å, I = 58
- 2θ = 41.40°, d = 2.181 Å, I = 72
- 2θ = 42.41°, d = 2.132 Å, I = 32
- 2θ = 62.75°, d = 1.481 Å, I = 30

Cell and atoms:
```
data_LaRhCl
_chemical_formula_sum 'La6 Rh6 Cl6'
_cell_length_a 4.3617
_cell_length_b 4.3617
_cell_length_c 30.2557
_cell_angle_alpha 90.00
_cell_angle_beta 90.00
_cell_angle_gamma 120.00
_symmetry_space_group_name_H-M 'R -3 m'
_symmetry_Int_Tables_number 166
_symmetry_space_group_name_Hall '-R 3 2"'
loop_
_atom_site_label
_atom_site_type_symbol
_atom_site_fract_x
_atom_site_fract_y
_atom_site_fract_z
La1 La 0.0000 0.0000 0.0632
Rh1 Rh 0.0000 0.0000 0.3351
Cl1 Cl 0.0000 0.0000 0.2162
```

Record 3
Computed XRD peak list
Compound: Sm2GaSi3
Radiation: λ = 1.5418 Å (Cu Kα)
Structure: the GGA-PBE geometry in Alexandria
Intensities are scaled so that the largest is 100.

Most intense lines, 10 to 90 degrees two-theta, by angle:
- 2θ = 25.06°, d = 3.554 Å, I = 34
- 2θ = 32.74°, d = 2.735 Å, I = 51
- 2θ = 33.33°, d = 2.688 Å, I = 100
- 2θ = 43.20°, d = 2.094 Å, I = 34
- 2θ = 56.41°, d = 1.631 Å, I = 21
- 2θ = 63.43°, d = 1.467 Å, I = 22

Cell and atoms:
```
data_Sm2GaSi3
_chemical_formula_sum 'Sm2 Ga1 Si3'
_cell_length_a 4.0637
_cell_length_b 4.1092
_cell_length_c 7.3302
_cell_angle_alpha 90.00
_cell_angle_beta 90.00
_cell_angle_gamma 90.00
_symmetry_space_group_name_H-M 'P m m 2'
_symmetry_Int_Tables_number 25
_symmetry_space_group_name_Hall 'P 2 -2'
loop_
_atom_site_label
_atom_site_type_symbol
_atom_site_fract_x
_atom_site_fract_y
_atom_site_fract_z
Sm1 Sm 0.0000 0.0000 0.0000
Sm2 Sm 0.5000 0.0000 0.4844
Ga1 Ga 0.0000 0.5000 0.6589
Si1 Si 0.0000 0.5000 0.3260
Si2 Si 0.5000 0.5000 0.1594
Si3 Si 0.5000 0.5000 0.8340
```